Calculated X-ray diffraction stick pattern of KCd6In6 for Cu Ka, from DFT lattice parameters and positions (PBE).
Lines closer than 0.1° are merged.

Largest 6 diffraction maxima, low angle first, 10° ≤ 2θ ≤ 90°:
- 2.673 Å, I 36, (1 2 3)
- 2.649 Å, I 41, (1 3 2)
- 2.634 Å, I 54, (0 4 0)
- 2.614 Å, I 29, (2 2 0)
- 2.411 Å, I 51, (0 2 4)
- 2.355 Å, I 100, (2 2 2)

Structural model:
a = 6.0201 Å, b = 10.5410 Å, c = 10.8579 Å
α = 90.00°, β = 90.00°, γ = 90.00°
Space group Immm (No. 71)
Asymmetric unit:
1 K 0.0000 0.0000 0.0000 (multiplicity 2)
2 Cd 0.0000 0.5000 0.2841 (multiplicity 4)
3 Cd 0.2500 0.2500 0.2500 (multiplicity 8)
4 In 0.0000 0.0000 0.3541 (multiplicity 4)
5 In 0.0000 0.2926 0.5000 (multiplicity 4)
6 In 0.0000 0.3516 0.0000 (multiplicity 4)